Starting from a GGA+U-relaxed structure, the powder X-ray diffraction pattern of MnPH4O5F was simulated for a wavelength of 1.5418 Å.

Peak list (6 most intense, 2θ = 10–80°, most intense first)
two_theta	I/Imax
32.71	100.0
10.78	99.0
20.00	96.9
28.10	86.8
21.65	77.5
32.47	74.5

Atomic structure:
Lattice parameters (Å, degrees): 5.620 5.690 8.529 81.96 74.68 71.60
Positions (direct):
1 Mn 0.041 0.298 0.170
2 Mn 0.959 0.702 0.830
3 P 0.353 0.089 0.806
4 P 0.647 0.911 0.194
5 H 0.180 0.596 0.483
6 H 0.212 0.851 0.504
7 H 0.286 0.669 0.192
8 H 0.462 0.391 0.205
9 H 0.538 0.609 0.795
10 H 0.714 0.331 0.808
11 H 0.788 0.149 0.496
12 H 0.820 0.404 0.517
13 O 0.137 0.721 0.562
14 O 0.188 0.318 0.902
15 O 0.252 0.864 0.847
16 O 0.281 0.499 0.234
17 O 0.360 0.970 0.203
18 O 0.640 0.030 0.797
19 O 0.719 0.501 0.766
20 O 0.748 0.136 0.153
21 O 0.812 0.682 0.098
22 O 0.863 0.279 0.438
23 F 0.325 0.180 0.623
24 F 0.675 0.820 0.377

Starting from a GGA+U-relaxed structure, the powder X-ray diffraction pattern of LiLa2VO6 was simulated for a wavelength of 1.5418 Å.

Peak list (6 most intense, 2θ = 10–80°, most intense first)
two_theta	I/Imax
32.77	100.0
23.01	45.7
40.43	42.4
58.50	38.6
47.03	36.2
52.98	21.7

Atomic structure:
Lattice parameters (Å, degrees): 5.465 5.465 5.465 60.00 60.00 60.00
Positions (direct):
1 Li 0.000 0.000 0.000
2 La 0.250 0.250 0.250
3 La 0.750 0.750 0.750
4 V 0.500 0.500 0.500
5 O 0.257 0.257 0.743
6 O 0.257 0.743 0.257
7 O 0.257 0.743 0.743
8 O 0.743 0.257 0.257
9 O 0.743 0.257 0.743
10 O 0.743 0.743 0.257

Starting from a GGA+U-relaxed structure, the powder X-ray diffraction pattern of Co3TeO6 was simulated for a wavelength of 1.5418 Å.

Peak list (6 most intense, 2θ = 10–80°, most intense first)
two_theta	I/Imax
34.93	100.0
28.20	80.2
29.56	76.5
20.50	74.0
54.69	60.5
34.30	59.4

Atomic structure:
Lattice parameters (Å, degrees): 8.696 8.696 10.491 94.43 94.43 61.82
Positions (direct):
1 Co 0.006 0.715 0.231
2 Co 0.064 0.343 0.428
3 Co 0.132 0.540 0.948
4 Co 0.187 0.813 0.750
5 Co 0.285 0.994 0.269
6 Co 0.321 0.632 0.462
7 Co 0.343 0.064 0.928
8 Co 0.368 0.679 0.038
9 Co 0.460 0.868 0.552
10 Co 0.540 0.132 0.448
11 Co 0.632 0.321 0.962
12 Co 0.657 0.936 0.072
13 Co 0.679 0.368 0.538
14 Co 0.715 0.006 0.731
15 Co 0.813 0.187 0.250
16 Co 0.868 0.460 0.052
17 Co 0.936 0.657 0.572
18 Co 0.994 0.285 0.769
19 Te 0.000 0.000 0.000
20 Te 0.000 0.000 0.500
21 Te 0.338 0.339 0.701
22 Te 0.339 0.338 0.201
23 Te 0.661 0.662 0.799
24 Te 0.662 0.661 0.299
25 O 0.056 0.085 0.164
26 O 0.085 0.056 0.664
27 O 0.089 0.765 0.066
28 O 0.093 0.762 0.562
29 O 0.109 0.411 0.607
30 O 0.109 0.437 0.111
31 O 0.225 0.276 0.833
32 O 0.235 0.911 0.434
33 O 0.238 0.907 0.938
34 O 0.239 0.556 0.304
35 O 0.250 0.563 0.799
36 O 0.276 0.225 0.333
37 O 0.405 0.431 0.060
38 O 0.411 0.109 0.107
39 O 0.431 0.405 0.560
40 O 0.437 0.109 0.611
41 O 0.437 0.750 0.701
42 O 0.444 0.761 0.196
43 O 0.556 0.239 0.804
44 O 0.563 0.250 0.299
45 O 0.563 0.891 0.389
46 O 0.569 0.595 0.440
47 O 0.589 0.891 0.893
48 O 0.595 0.569 0.940
49 O 0.724 0.775 0.667
50 O 0.750 0.437 0.201
51 O 0.761 0.444 0.696
52 O 0.762 0.093 0.062
53 O 0.765 0.089 0.566
54 O 0.775 0.724 0.167
55 O 0.891 0.563 0.889
56 O 0.891 0.589 0.393
57 O 0.907 0.238 0.438
58 O 0.911 0.235 0.934
59 O 0.915 0.944 0.336
60 O 0.944 0.915 0.836

Starting from a GGA+U-relaxed structure, the powder X-ray diffraction pattern of NaV6O14 was simulated for a wavelength of 1.5418 Å.

Peak list (6 most intense, 2θ = 10–80°, most intense first)
two_theta	I/Imax
11.37	100.0
26.70	37.7
26.18	36.5
27.21	27.1
32.61	21.2
50.16	18.0

Atomic structure:
Lattice parameters (Å, degrees): 8.269 8.269 10.364 104.90 104.90 25.41
Positions (direct):
1 Na 0.000 0.000 0.000
2 V 0.139 0.139 0.722
3 V 0.287 0.287 0.003
4 V 0.337 0.337 0.689
5 V 0.655 0.655 0.482
6 V 0.701 0.701 0.164
7 V 0.850 0.850 0.449
8 O 0.097 0.097 0.851
9 O 0.182 0.182 0.537
10 O 0.244 0.244 0.161
11 O 0.261 0.261 0.812
12 O 0.374 0.374 0.523
13 O 0.391 0.391 0.048
14 O 0.427 0.427 0.805
15 O 0.564 0.564 0.373
16 O 0.595 0.595 0.108
17 O 0.619 0.619 0.650
18 O 0.729 0.729 0.366
19 O 0.753 0.753 0.006
20 O 0.813 0.813 0.644
21 O 0.889 0.889 0.320

Starting from a GGA+U-relaxed structure, the powder X-ray diffraction pattern of LiCo2OF3 was simulated for a wavelength of 1.5418 Å.

Peak list (6 most intense, 2θ = 10–80°, most intense first)
two_theta	I/Imax
17.98	100.0
17.51	93.7
41.89	88.8
34.07	61.6
60.39	51.9
41.43	43.4

Atomic structure:
Lattice parameters (Å, degrees): 6.221 5.985 8.717 90.00 90.00 90.00
Positions (direct):
1 Li 0.023 0.250 0.106
2 Li 0.477 0.750 0.606
3 Li 0.523 0.250 0.394
4 Li 0.977 0.750 0.894
5 Co 0.000 0.000 0.500
6 Co 0.000 0.500 0.500
7 Co 0.233 0.750 0.267
8 Co 0.267 0.250 0.767
9 Co 0.500 0.000 0.000
10 Co 0.500 0.500 0.000
11 Co 0.733 0.750 0.233
12 Co 0.767 0.250 0.733
13 O 0.205 0.750 0.491
14 O 0.295 0.250 0.991
15 O 0.705 0.750 0.009
16 O 0.795 0.250 0.509
17 F 0.017 0.010 0.755
18 F 0.017 0.490 0.755
19 F 0.244 0.750 0.027
20 F 0.256 0.250 0.527
21 F 0.483 0.510 0.255
22 F 0.483 0.990 0.255
23 F 0.517 0.010 0.745
24 F 0.517 0.490 0.745
25 F 0.744 0.750 0.473
26 F 0.756 0.250 0.973
27 F 0.983 0.510 0.245
28 F 0.983 0.990 0.245

Starting from a GGA+U-relaxed structure, the powder X-ray diffraction pattern of TiFe3O6 was simulated for a wavelength of 1.5418 Å.

Peak list (6 most intense, 2θ = 10–80°, most intense first)
two_theta	I/Imax
32.61	100.0
34.71	77.5
53.07	55.1
48.36	39.8
62.21	35.2
23.64	34.7

Atomic structure:
Lattice parameters (Å, degrees): 5.514 5.514 5.514 55.91 55.91 55.91
Positions (direct):
1 Ti 0.000 0.000 0.000
2 Fe 0.207 0.207 0.207
3 Fe 0.498 0.498 0.498
4 Fe 0.707 0.707 0.707
5 O 0.085 0.819 0.405
6 O 0.284 0.615 0.923
7 O 0.405 0.085 0.819
8 O 0.615 0.923 0.284
9 O 0.819 0.405 0.085
10 O 0.923 0.284 0.615

Starting from a GGA+U-relaxed structure, the powder X-ray diffraction pattern of Na2NiPCO7 was simulated for a wavelength of 1.5418 Å.

Peak list (6 most intense, 2θ = 10–80°, most intense first)
two_theta	I/Imax
26.79	100.0
34.66	65.8
25.90	60.1
33.36	47.6
16.69	44.0
16.57	43.0

Atomic structure:
Lattice parameters (Å, degrees): 8.413 8.454 8.912 90.97 91.65 104.21
Positions (direct):
1 Na 0.000 0.000 0.000
2 Na 0.006 0.498 0.497
3 Na 0.260 0.742 0.002
4 Na 0.471 0.997 0.490
5 Na 0.493 0.504 0.019
6 Na 0.629 0.385 0.663
7 Na 0.763 0.232 0.017
8 Na 0.770 0.748 0.491
9 Ni 0.362 0.104 0.105
10 Ni 0.395 0.629 0.404
11 Ni 0.862 0.600 0.101
12 Ni 0.899 0.133 0.405
13 P 0.108 0.846 0.330
14 P 0.142 0.380 0.178
15 P 0.613 0.351 0.330
16 P 0.643 0.884 0.177
17 C 0.364 0.602 0.678
18 C 0.398 0.134 0.832
19 C 0.858 0.103 0.678
20 C 0.888 0.629 0.825
21 O 0.016 0.441 0.077
22 O 0.037 0.963 0.427
23 O 0.068 0.314 0.327
24 O 0.176 0.920 0.180
25 O 0.200 0.252 0.082
26 O 0.238 0.788 0.425
27 O 0.268 0.506 0.581
28 O 0.284 0.025 0.893
29 O 0.292 0.530 0.213
30 O 0.352 0.590 0.818
31 O 0.420 0.144 0.693
32 O 0.467 0.200 0.293
33 O 0.480 0.711 0.616
34 O 0.493 0.236 0.929
35 O 0.513 0.942 0.080
36 O 0.559 0.483 0.426
37 O 0.573 0.816 0.328
38 O 0.683 0.418 0.180
39 O 0.700 0.754 0.083
40 O 0.739 0.294 0.434
41 O 0.762 0.008 0.577
42 O 0.775 0.518 0.890
43 O 0.793 0.034 0.212
44 O 0.838 0.089 0.817
45 O 0.892 0.631 0.684
46 O 0.960 0.693 0.293
47 O 0.972 0.215 0.621
48 O 0.988 0.729 0.917